Simulated XRD peak list
Compound: Dy3As2Pt2Rh5
Radiation: Cu Kα (λ = 1.5418 Å)
Structure: a crystal structure in Alexandria, relaxed with GGA-PBE

Peak list (10 most intense, 10 to 90 degrees two-theta, in order of rising 2θ)
- 31.41 deg, I = 55.1
- 32.14 deg, I = 53.9
- 32.37 deg, I = 33.9
- 34.25 deg, I = 34.8
- 37.52 deg, I = 97.8
- 37.72 deg, I = 72.3
- 43.61 deg, I = 54.5
- 45.02 deg, I = 100.0
- 60.14 deg, I = 37.3
- 64.47 deg, I = 34.4

a = 13.6215 Å, b = 13.6215 Å, c = 13.6215 Å
α = 163.00°, β = 163.00°, γ = 24.13°
Atoms (fractional coordinates):
Dy1 0.0000 0.0000 0.0000
Dy2 0.1700 0.1700 0.0000
Dy3 0.8300 0.8300 0.0000
As1 0.3708 0.3708 0.0000
As2 0.6292 0.6292 0.0000
Pt1 0.2780 0.2780 0.0000
Pt2 0.7220 0.7220 0.0000
Rh1 0.0792 0.5792 0.5000
Rh2 0.4208 0.9208 0.5000
Rh3 0.5000 0.5000 0.0000
Rh4 0.5792 0.0792 0.5000
Rh5 0.9208 0.4208 0.5000